Record 1
Structure and computed powder X-ray diffraction pattern of Ce2Ge7Ru12 (a GGA-PBE-relaxed structure; CuKα).

Structure:
abc: 9.8334 9.8334 4.0265
angles: 90.00 90.00 120.00
Space group P-6 (No. 174)
Asymmetric unit:
Ce: 0.0000 0.0000 0.0000
Ce: 0.3333 0.6667 0.5000
Ge: 0.0707 0.4522 0.0000
Ge: 0.2657 0.2267 0.5000
Ge: 0.6667 0.3333 0.0000
Ru: 0.0451 0.2823 0.5000
Ru: 0.1012 0.7126 0.0000
Ru: 0.3874 0.1815 0.0000
Ru: 0.5578 0.4343 0.5000

Most intense lines, 2θ from 10° to 80°, by intensity:
2θ = 35.71°, intensity 100.0, (2 1 1)
2θ = 44.47°, intensity 27.2, (1 3 1)
2θ = 45.03°, intensity 26.9, (0 0 2)
2θ = 49.02°, intensity 18.5, (1 4 0)
2θ = 68.74°, intensity 13.1, (1 4 2)
2θ = 42.46°, intensity 12.0, (4 0 0)
2θ = 38.81°, intensity 12.0, (3 0 1)
2θ = 52.03°, intensity 11.5, (3 2 1)
2θ = 76.97°, intensity 10.3, (2 1 3)
2θ = 38.10°, intensity 9.8, (1 3 0)

Record 2
Structure and computed powder X-ray diffraction pattern of Ce4GeRu2 (a GGA-PBE-relaxed structure; CuKα).

Structure:
abc: 12.5536 12.8695 8.2364
angles: 90.00 90.00 90.00
Space group Fdd2 (No. 43)
Asymmetric unit:
Ce: 0.0681 0.3864 0.0000
Ce: 0.1229 0.3056 0.3933
Ge: 0.0000 0.0000 0.8241
Ru: 0.0592 0.2991 0.6779

Most intense lines, 2θ from 10° to 80°, by intensity:
2θ = 31.77°, intensity 100.0, (3 3 1)
2θ = 34.15°, intensity 46.3, (1 1 3)
2θ = 37.30°, intensity 27.0, (1 5 1)
2θ = 29.42°, intensity 22.9, (2 2 2)
2θ = 31.24°, intensity 22.8, (2 4 0)
2θ = 38.69°, intensity 16.5, (4 2 2)
2θ = 52.74°, intensity 15.3, (0 4 4)
2θ = 38.29°, intensity 13.9, (2 4 2)
2θ = 39.89°, intensity 13.4, (3 1 3)
2θ = 54.92°, intensity 13.4, (2 4 4)

Record 3
Structure and computed powder X-ray diffraction pattern of Ce5Ge5Ru2 (a GGA-PBE-relaxed structure; CuKα).

Structure:
abc: 15.4022 4.4505 10.1366
angles: 90.00 130.95 90.00
Space group C2/m (No. 12)
Asymmetric unit:
Ce: 0.0000 0.0000 0.0000
Ce: 0.1294 0.0000 0.8302
Ce: 0.1778 0.0000 0.5258
Ge: 0.0000 0.5000 0.5000
Ge: 0.0465 0.5000 0.2538
Ge: 0.2471 0.5000 0.7687
Ru: 0.1592 0.5000 0.0608

Most intense lines, 2θ from 10° to 80°, by intensity:
2θ = 33.29°, intensity 100.0, (3 1 -3)
2θ = 37.98°, intensity 69.8, (3 1 1)
2θ = 40.54°, intensity 46.5, (0 2 0)
2θ = 35.47°, intensity 44.0, (5 1 -2)
2θ = 35.65°, intensity 37.9, (6 0 -2)
2θ = 36.79°, intensity 32.6, (1 1 -3)
2θ = 55.07°, intensity 21.5, (6 2 -2)
2θ = 26.70°, intensity 15.8, (1 1 1)
2θ = 38.71°, intensity 13.8, (2 0 -4)
2θ = 72.04°, intensity 13.0, (3 3 1)